(1)
The following is a calculated powder X-ray diffraction pattern of NdNi12B6. It was derived from the GGA-PBE geometry in OQMD, using Cu Kα (weighted mean of Kα1 and Kα2).
Peak positions follow from Bragg's law for the DFT cell and can differ from measured ones.

Cell and atoms:
```
NdNi12B6
1.0
4.792 -3.700 0.000
4.792 3.700 0.000
0.000 0.000 11.045
Nd Ni B
2 24 12
Direct
0.166 0.834 0.500 Nd
0.834 0.166 0.000 Nd
0.006 0.629 0.061 Ni
0.119 0.146 0.242 Ni
0.146 0.119 0.742 Ni
0.195 0.541 0.263 Ni
0.212 0.525 0.724 Ni
0.221 0.779 0.899 Ni
0.273 0.341 0.931 Ni
0.341 0.273 0.431 Ni
0.371 0.994 0.061 Ni
0.433 0.567 0.080 Ni
0.459 0.805 0.263 Ni
0.475 0.788 0.724 Ni
0.525 0.212 0.224 Ni
0.541 0.195 0.763 Ni
0.567 0.433 0.580 Ni
0.629 0.006 0.561 Ni
0.659 0.727 0.931 Ni
0.727 0.659 0.431 Ni
0.779 0.221 0.399 Ni
0.788 0.475 0.224 Ni
0.805 0.459 0.763 Ni
0.854 0.881 0.242 Ni
0.881 0.854 0.742 Ni
0.994 0.371 0.561 Ni
0.012 0.400 0.376 B
0.165 0.835 0.162 B
0.248 0.325 0.113 B
0.325 0.248 0.613 B
0.400 0.012 0.876 B
0.487 0.513 0.841 B
0.513 0.487 0.341 B
0.600 0.988 0.376 B
0.675 0.752 0.113 B
0.752 0.675 0.613 B
0.835 0.165 0.662 B
0.988 0.600 0.876 B
```

Most intense lines, 2θ = 15–90°, in order of rising 2θ:
2θ (°), intensity
31.59, 56.4
34.65, 49.8
39.29, 64.0
41.06, 74.3
41.17, 100.0
43.80, 40.5

---

(2)
The following is a calculated powder X-ray diffraction pattern of Dy2AlGa5. It was derived from the GGA-PBE geometry in OQMD, using Cu Kα (weighted mean of Kα1 and Kα2).
Peak positions follow from Bragg's law for the DFT cell and can differ from measured ones.

Cell and atoms:
```
Dy2AlGa5
1.0
4.559 0.000 0.000
0.000 3.142 5.401
0.000 -3.142 5.401
Dy Al Ga
2 1 5
Direct
0.000 0.000 0.000 Dy
0.500 0.330 0.330 Dy
0.000 0.522 0.522 Al
0.000 0.519 0.964 Ga
0.000 0.964 0.519 Ga
0.500 0.369 0.809 Ga
0.500 0.809 0.369 Ga
0.500 0.813 0.813 Ga
```

Most intense lines, 2θ = 15–90°, in order of rising 2θ:
2θ (°), intensity
25.52, 47.2
32.98, 24.5
38.59, 100.0
38.75, 48.7
39.54, 32.8
73.49, 17.5

---

(3)
The following is a calculated powder X-ray diffraction pattern of PdF2. It was derived from the GGA-PBE geometry in OQMD, using Cu Kα (weighted mean of Kα1 and Kα2).
Peak positions follow from Bragg's law for the DFT cell and can differ from measured ones.

Cell and atoms:
```
PdF2
1.0
4.343 0.000 0.000
0.000 7.496 0.000
-1.246 0.000 5.090
Pd F
4 8
Direct
0.241 0.130 0.021 Pd
0.241 0.370 0.521 Pd
0.759 0.630 0.479 Pd
0.759 0.870 0.979 Pd
0.008 0.688 0.215 F
0.008 0.812 0.715 F
0.498 0.061 0.755 F
0.498 0.439 0.255 F
0.502 0.561 0.745 F
0.502 0.939 0.245 F
0.992 0.188 0.285 F
0.992 0.312 0.785 F
```

Most intense lines, 2θ = 15–90°, in order of rising 2θ:
2θ (°), intensity
21.10, 100.0
24.21, 81.3
34.00, 34.5
38.63, 26.4
39.07, 68.0
40.20, 21.1

---

(4)
The following is a calculated powder X-ray diffraction pattern of Mg2TaBi3Pd3. It was derived from the GGA-PBE geometry in OQMD, using Cu Kα (weighted mean of Kα1 and Kα2).
Peak positions follow from Bragg's law for the DFT cell and can differ from measured ones.

Cell and atoms:
```
Mg2TaBi3Pd3
1.0
3.961 -6.839 0.000
3.961 6.839 0.000
-2.641 0.000 7.443
Mg Ta Bi Pd
4 2 6 6
Direct
0.083 0.917 0.500 Mg
0.245 0.743 0.000 Mg
0.743 0.245 0.500 Mg
0.917 0.083 0.000 Mg
0.411 0.577 0.498 Ta
0.577 0.411 0.998 Ta
0.153 0.329 0.751 Bi
0.329 0.153 0.251 Bi
0.498 0.989 0.751 Bi
0.671 0.838 0.244 Bi
0.838 0.671 0.744 Bi
0.989 0.498 0.251 Bi
0.053 0.220 0.378 Pd
0.220 0.053 0.878 Pd
0.374 0.856 0.377 Pd
0.535 0.685 0.864 Pd
0.685 0.535 0.364 Pd
0.856 0.374 0.877 Pd
```

Most intense lines, 2θ = 15–90°, in order of rising 2θ:
2θ (°), intensity
23.83, 16.2
23.90, 41.3
27.64, 30.7
39.48, 100.0
39.53, 19.7
71.71, 17.1

---

(5)
The following is a calculated powder X-ray diffraction pattern of Zr8Zn2C3N3. It was derived from the GGA-PBE geometry in OQMD, using Cu Kα (weighted mean of Kα1 and Kα2).
Peak positions follow from Bragg's law for the DFT cell and can differ from measured ones.

Cell and atoms:
```
Zr8Zn2C3N3
1.0
3.310 0.000 0.000
-1.655 2.867 0.000
0.000 0.000 24.830
Zr Zn C N
8 2 3 3
Direct
0.000 0.000 0.156 Zr
0.000 0.000 0.340 Zr
0.000 0.000 0.660 Zr
0.000 0.000 0.844 Zr
0.333 0.667 0.553 Zr
0.333 0.667 0.946 Zr
0.667 0.333 0.054 Zr
0.667 0.333 0.447 Zr
0.333 0.667 0.753 Zn
0.667 0.333 0.247 Zn
0.000 0.000 0.500 C
0.333 0.667 0.387 C
0.667 0.333 0.613 C
0.000 0.000 0.000 N
0.333 0.667 0.106 N
0.667 0.333 0.894 N
```

Most intense lines, 2θ = 15–90°, in order of rising 2θ:
2θ (°), intensity
31.41, 20.0
34.46, 37.4
36.18, 100.0
38.19, 82.9
55.52, 41.2
68.08, 39.2

---

(6)
The following is a calculated powder X-ray diffraction pattern of ZrAl2Sb. It was derived from the GGA-PBE geometry in OQMD, using Cu Kα (weighted mean of Kα1 and Kα2).
Peak positions follow from Bragg's law for the DFT cell and can differ from measured ones.

Cell and atoms:
```
ZrAl2Sb
1.0
0.000 3.481 3.481
3.481 0.000 3.481
3.481 3.481 0.000
Zr Al Sb
1 2 1
Direct
0.000 0.000 0.000 Zr
0.250 0.250 0.250 Al
0.500 0.500 0.500 Al
0.750 0.750 0.750 Sb
```

Most intense lines, 2θ = 15–90°, in order of rising 2θ:
2θ (°), intensity
22.11, 44.1
36.50, 100.0
43.09, 23.0
52.57, 17.1
65.70, 34.5
88.89, 15.4